Entry 1:
Structure and theoretical powder X-ray diffraction pattern of Hf3N2O3 (a crystal structure in the Materials Project, relaxed with PBE; Cu Kα, 1.54184 Å).
Neutral-atom scattering factors, no anomalous dispersion.

Main lines, in order of rising 2θ (15° ≤ 2θ ≤ 90°):
d (Å)  I_rel
5.307  58
3.746  100
2.963  52
2.937  47
2.651  89
2.580  53
2.572  51
2.002  32
1.872  17
1.774  18
1.659  19
1.653  37

Structure:
```
Hf3N2O3
1.0
5.304 -2.002 0.000
5.304 2.002 0.000
-0.103 0.000 10.649
Hf N O
6 4 6
Cartesian
0.000 0.000 0.000 Hf
0.022 0.000 4.103 Hf
2.910 0.000 5.329 Hf
2.960 0.000 9.443 Hf
3.450 0.000 2.063 Hf
10.011 0.000 7.397 Hf
1.974 0.000 3.512 N
4.693 0.000 0.255 N
8.864 0.000 9.211 N
8.932 0.000 5.535 N
0.964 0.000 8.835 O
1.004 0.000 6.018 O
1.992 0.000 0.616 O
4.068 0.000 7.421 O
4.770 0.000 3.877 O
9.499 0.000 2.155 O
```

***

Entry 2:
Structure and theoretical powder X-ray diffraction pattern of SiPb3 (a crystal structure in the Materials Project, relaxed with PBE; Cu Kα, 1.54184 Å).
Neutral-atom scattering factors, no anomalous dispersion.

Main lines, in order of rising 2θ (15° ≤ 2θ ≤ 90°):
d (Å)  I_rel
4.039  27
3.441  10
2.980  23
2.746  26
2.620  100
2.020  16
1.721  19
1.560  21
1.458  22
1.438  16
1.156  8
1.103  14

Structure:
```
SiPb3
1.0
6.883 0.000 0.000
-3.441 5.961 0.000
0.000 0.000 5.493
Si Pb
2 6
Cartesian
0.000 3.974 1.373 Si
3.441 1.987 4.120 Si
0.000 2.060 4.120 Pb
-1.657 4.931 4.120 Pb
1.784 1.030 1.373 Pb
1.657 4.931 4.120 Pb
5.099 1.030 1.373 Pb
3.441 3.901 1.373 Pb
```

***

Entry 3:
Structure and theoretical powder X-ray diffraction pattern of Hg (a crystal structure in the Materials Project, relaxed with PBE; Cu Kα, 1.54184 Å).
Neutral-atom scattering factors, no anomalous dispersion.

Main lines, in order of rising 2θ (15° ≤ 2θ ≤ 90°):
d (Å)  I_rel
4.169  14
3.316  19
2.848  36
2.769  41
2.754  100
2.161  12
1.786  10
1.629  9
1.625  21
1.574  9
1.513  9
1.463  8

Structure:
```
Hg
1.0
2.848 -5.360 0.000
2.848 5.360 0.000
0.000 0.000 6.632
Hg
6
Cartesian
0.000 0.000 0.000 Hg
2.848 3.418 3.925 Hg
2.848 1.941 0.609 Hg
2.848 0.000 3.316 Hg
2.848 -1.941 6.023 Hg
2.848 -3.418 2.707 Hg
```